Theoretical powder diffraction line list of NbFe6Ge6 for a wavelength of 1.5418 Å, from the PBE geometry in OQMD.
Neutral-atom scattering factors, no anomalous dispersion.

Peak list (6 most intense, 10° ≤ 2θ ≤ 90°, sorted by position)
35.7°, rel. 50, hkl 1 3 0
39.4°, rel. 38, hkl 0 2 3
41.6°, rel. 36, hkl 2 2 0
42.4°, rel. 100, hkl 2 0 2
47.6°, rel. 53, hkl 2 2 2
81.2°, rel. 31, hkl 2 0 6

```
data_NbFe6Ge6
_cell_length_a 5.012
_cell_length_b 8.714
_cell_length_c 8.060
_cell_angle_alpha 90.00
_cell_angle_beta 90.00
_cell_angle_gamma 90.00
_symmetry_space_group_name_H-M 'C m m m'
_symmetry_Int_Tables_number 65
_symmetry_space_group_name_Hall '-C 2 2'
loop_
_atom_site_label
_atom_site_fract_x
_atom_site_fract_y
_atom_site_fract_z
_atom_site_occupancy
Nb1 0.000 0.000 0.000 1
Fe1 0.000 0.500 0.250 1
Fe2 0.250 0.250 0.249 1
Ge1 0.000 0.000 0.338 1
Ge2 0.000 0.334 0.000 1
Ge3 0.000 0.334 0.500 1
```

=====

Theoretical powder diffraction line list of Nd2FeGe4Pt for a wavelength of 1.5418 Å, from the PBE geometry in OQMD.
Neutral-atom scattering factors, no anomalous dispersion.

Peak list (6 most intense, 10° ≤ 2θ ≤ 90°, sorted by position)
29.6°, rel. 54, hkl 1 1 1
33.2°, rel. 100, hkl 1 1 3
33.6°, rel. 62, hkl 0 1 5
37.8°, rel. 39, hkl 1 0 6
41.2°, rel. 43, hkl 2 0 0
42.0°, rel. 41, hkl 0 2 0

```
data_Nd2FeGe4Pt
_cell_length_a 4.378
_cell_length_b 4.305
_cell_length_c 16.995
_cell_angle_alpha 90.00
_cell_angle_beta 90.00
_cell_angle_gamma 90.00
_symmetry_space_group_name_H-M 'A m m 2'
_symmetry_Int_Tables_number 38
loop_
_symmetry_equiv_pos_as_xyz
'x,y,z'
'-x,-y,z'
'-x,y,z'
'x,-y,z'
'x,y+1/2,z+1/2'
'-x,-y+1/2,z+1/2'
'-x,y+1/2,z+1/2'
'x,-y+1/2,z+1/2'
loop_
_atom_site_label
_atom_site_fract_x
_atom_site_fract_y
_atom_site_fract_z
_atom_site_occupancy
Nd1 0.000 0.000 0.000 1
Nd2 0.500 0.000 0.214 1
Fe1 0.500 0.000 0.426 1
Ge1 0.000 0.000 0.367 1
Ge2 0.000 0.000 0.642 1
Ge3 0.500 0.000 0.561 1
Ge4 0.500 0.000 0.865 1
Pt1 0.000 0.000 0.785 1
```

=====

Theoretical powder diffraction line list of NdFeSiGe2 for a wavelength of 1.5418 Å, from the PBE geometry in OQMD.
Neutral-atom scattering factors, no anomalous dispersion.

Peak list (6 most intense, 10° ≤ 2θ ≤ 90°, sorted by position)
22.7°, rel. 30, hkl 1 0 1
34.5°, rel. 45, hkl 1 0 3
34.8°, rel. 100, hkl 1 1 2
42.2°, rel. 49, hkl 2 0 0
55.6°, rel. 22, hkl 2 1 3
72.4°, rel. 23, hkl 3 1 2

```
data_NdFeSiGe2
_cell_length_a 4.279
_cell_length_b 4.279
_cell_length_c 9.831
_cell_angle_alpha 90.00
_cell_angle_beta 90.00
_cell_angle_gamma 90.00
_symmetry_space_group_name_H-M 'I 4 m m'
_symmetry_Int_Tables_number 107
_symmetry_space_group_name_Hall 'I 4 -2'
loop_
_atom_site_label
_atom_site_fract_x
_atom_site_fract_y
_atom_site_fract_z
_atom_site_occupancy
Nd1 0.000 0.000 0.000 1
Fe1 0.000 0.000 0.340 1
Si1 0.000 0.000 0.563 1
Ge1 0.000 0.500 0.242 1
```

=====

Theoretical powder diffraction line list of FeNiGeS3 for a wavelength of 1.5418 Å, from the PBE geometry in OQMD.
Neutral-atom scattering factors, no anomalous dispersion.

Peak list (6 most intense, 10° ≤ 2θ ≤ 90°, sorted by position)
14.2°, rel. 31, hkl 0 2 0
35.5°, rel. 84, hkl 1 3 1
39.8°, rel. 100, hkl 1 3 2
41.1°, rel. 40, hkl 0 0 4
53.6°, rel. 25, hkl 2 0 0
63.6°, rel. 22, hkl 1 3 5

```
data_FeNiGeS3
_cell_length_a 3.418
_cell_length_b 12.506
_cell_length_c 8.786
_cell_angle_alpha 90.00
_cell_angle_beta 90.00
_cell_angle_gamma 90.00
_symmetry_space_group_name_H-M 'C m c m'
_symmetry_Int_Tables_number 63
_symmetry_space_group_name_Hall '-C 2c 2'
loop_
_atom_site_label
_atom_site_fract_x
_atom_site_fract_y
_atom_site_fract_z
_atom_site_occupancy
Fe1 0.000 0.000 0.000 1
Ni1 0.000 0.471 0.250 1
Ge1 0.000 0.227 0.750 1
S1 0.000 0.080 0.250 1
S2 0.000 0.362 0.052 1
```

=====

What did the third record say?
Theoretical powder diffraction line list of NdFeSiGe2 for a wavelength of 1.5418 Å, from the PBE geometry in OQMD.
Neutral-atom scattering factors, no anomalous dispersion.

Peak list (6 most intense, 10° ≤ 2θ ≤ 90°, sorted by position)
22.7°, rel. 30, hkl 1 0 1
34.5°, rel. 45, hkl 1 0 3
34.8°, rel. 100, hkl 1 1 2
42.2°, rel. 49, hkl 2 0 0
55.6°, rel. 22, hkl 2 1 3
72.4°, rel. 23, hkl 3 1 2

```
data_NdFeSiGe2
_cell_length_a 4.279
_cell_length_b 4.279
_cell_length_c 9.831
_cell_angle_alpha 90.00
_cell_angle_beta 90.00
_cell_angle_gamma 90.00
_symmetry_space_group_name_H-M 'I 4 m m'
_symmetry_Int_Tables_number 107
_symmetry_space_group_name_Hall 'I 4 -2'
loop_
_atom_site_label
_atom_site_fract_x
_atom_site_fract_y
_atom_site_fract_z
_atom_site_occupancy
Nd1 0.000 0.000 0.000 1
Fe1 0.000 0.000 0.340 1
Si1 0.000 0.000 0.563 1
Ge1 0.000 0.500 0.242 1
```